1.
Diffraction record for Ca3Mn4BiO12. The XRD peak list is computed, not measured: it uses DFT lattice parameters and positions (PBE+U) and Cu Ka.
Kinematic intensities with the Lorentz-polarization factor, no thermal factor.

Cell and atoms:
Cell lengths 5.412, 7.661, 5.491 Å; angles 90.00, 90.23, 90.00 degrees
Space group Pm (No. 6)
One atom of each set of equivalent atoms:
Ca1 0.000 0.000 0.000 x1
Ca2 0.013 0.500 0.086 x1
Ca3 0.513 0.000 0.498 x1
Mn1 0.005 0.246 0.540 x2
Mn2 0.507 0.246 0.045 x2
Bi1 0.498 0.500 0.595 x1
O1 0.083 0.000 0.565 x1
O2 0.216 0.293 0.831 x2
O3 0.301 0.290 0.335 x2
O4 0.427 0.000 0.063 x1
O5 0.581 0.500 0.020 x1
O6 0.708 0.214 0.747 x2
O7 0.802 0.210 0.247 x2
O8 0.927 0.500 0.523 x1

Most intense lines, 2θ = 10–90°, sorted by position:
h k l, 2theta, I/Imax
0 1 0, 11.55, 29
0 1 1, 19.89, 20
1 1 0, 20.09, 19
1 1 -1, 25.88, 28
0 0 2, 32.62, 24
1 2 1, 32.97, 100
2 0 0, 33.11, 25
3 2 1, 59.11, 23


2.
Diffraction record for CaNiBiP2O9. The XRD peak list is computed, not measured: it uses DFT lattice parameters and positions (PBE+U) and Cu Ka.
Kinematic intensities with the Lorentz-polarization factor, no thermal factor.

Cell and atoms:
Cell lengths 14.747, 6.787, 7.650 Å; angles 90.00, 90.00, 90.00 degrees
Space group Pnma (No. 62)
One atom of each set of equivalent atoms:
Ca1 0.204 0.250 0.084 x4
Ni1 0.000 0.000 0.000 x4
Bi1 0.118 0.250 0.641 x4
P1 0.080 0.750 0.653 x4
P2 0.182 0.750 0.123 x4
O1 0.019 0.750 0.490 x4
O2 0.025 0.750 0.823 x4
O3 0.066 0.250 0.899 x4
O4 0.125 0.558 0.117 x8
O5 0.148 0.575 0.642 x8
O6 0.244 0.750 0.291 x4
O7 0.247 0.250 0.466 x4

Most intense lines, 2θ = 10–90°, sorted by position:
h k l, 2theta, I/Imax
2 0 1, 16.70, 100
0 1 1, 17.47, 62
2 1 0, 17.76, 69
1 0 2, 24.03, 94
0 2 0, 26.26, 56
1 2 1, 29.42, 50
2 2 1, 31.28, 44
5 0 1, 32.52, 45


3.
Diffraction record for Ca2VBiO6. The XRD peak list is computed, not measured: it uses DFT lattice parameters and positions (PBE+U) and Cu Ka.
Kinematic intensities with the Lorentz-polarization factor, no thermal factor.

Cell and atoms:
Cell lengths 8.281, 8.281, 8.281 Å; angles 90.00, 90.00, 90.00 degrees
Space group Fm-3m (No. 225)
One atom of each set of equivalent atoms:
Ca1 0.250 0.250 0.250 x8
V1 0.000 0.000 0.000 x4
Bi1 0.000 0.000 0.500 x4
O1 0.000 0.000 0.228 x24

Most intense lines, 2θ = 10–90°, sorted by position:
h k l, 2theta, I/Imax
1 1 1, 18.56, 42
2 0 0, 21.46, 53
2 2 0, 30.53, 100
3 1 1, 35.97, 35
4 0 0, 43.73, 35
4 2 0, 49.21, 23
4 2 2, 54.27, 39
6 4 2, 88.32, 22


4.
Diffraction record for CaV2Bi2O10. The XRD peak list is computed, not measured: it uses DFT lattice parameters and positions (PBE+U) and Cu Ka.
Kinematic intensities with the Lorentz-polarization factor, no thermal factor.

Cell and atoms:
Cell lengths 16.105, 5.760, 11.370 Å; angles 90.00, 90.00, 90.00 degrees
Space group Pca2_1 (No. 29)
One atom of each set of equivalent atoms:
Ca1 0.043 0.248 0.000 x4
V1 0.106 0.724 0.230 x4
V2 0.107 0.237 0.532 x4
Bi1 0.221 0.328 0.811 x4
Bi2 0.227 0.819 0.984 x4
O1 0.033 0.822 0.322 x4
O2 0.036 0.410 0.474 x4
O3 0.066 0.983 0.574 x4
O4 0.078 0.478 0.164 x4
O5 0.136 0.940 0.120 x4
O6 0.155 0.025 0.863 x4
O7 0.155 0.507 0.936 x4
O8 0.160 0.401 0.650 x4
O9 0.188 0.159 0.425 x4
O10 0.203 0.641 0.312 x4

Most intense lines, 2θ = 10–90°, sorted by position:
h k l, 2theta, I/Imax
2 0 0, 10.99, 100
2 0 2, 19.11, 24
1 1 2, 22.66, 44
4 0 1, 23.44, 21
3 1 1, 23.97, 18
3 1 2, 27.61, 80
1 2 0, 31.53, 24
1 1 4, 35.65, 32


5.
Diffraction record for Ca2VBiO6. The XRD peak list is computed, not measured: it uses DFT lattice parameters and positions (PBE+U) and Cu Ka.
Kinematic intensities with the Lorentz-polarization factor, no thermal factor.

Cell and atoms:
Cell lengths 9.019, 12.076, 5.607 Å; angles 90.00, 90.00, 90.00 degrees
Space group Cmc2_1 (No. 36)
One atom of each set of equivalent atoms:
Ca1 0.198 0.107 0.000 x8
V1 0.000 0.184 0.454 x4
Bi1 0.000 0.410 0.015 x4
O1 0.000 0.053 0.323 x4
O2 0.000 0.184 0.767 x4
O3 0.153 0.495 0.754 x8
O4 0.156 0.248 0.333 x8

Most intense lines, 2θ = 10–90°, sorted by position:
h k l, 2theta, I/Imax
1 1 0, 12.25, 67
2 0 0, 19.69, 30
1 1 1, 20.04, 17
0 2 1, 21.63, 24
1 3 1, 29.05, 75
2 2 1, 29.41, 100
3 1 2, 44.84, 26
3 5 0, 48.34, 18


6.
Diffraction record for CaVBiO6. The XRD peak list is computed, not measured: it uses DFT lattice parameters and positions (PBE+U) and Cu Ka.
Kinematic intensities with the Lorentz-polarization factor, no thermal factor.

Cell and atoms:
Cell lengths 7.113, 5.382, 7.584 Å; angles 90.00, 101.83, 90.00 degrees
Space group P2_1 (No. 4)
One atom of each set of equivalent atoms:
Ca1 0.231 0.000 0.434 x2
V1 0.280 0.469 0.711 x2
Bi1 0.100 0.993 0.931 x2
O1 0.085 0.344 0.571 x2
O2 0.104 0.212 0.173 x2
O3 0.149 0.731 0.151 x2
O4 0.257 0.804 0.740 x2
O5 0.311 0.277 0.907 x2
O6 0.462 0.415 0.604 x2

Most intense lines, 2θ = 10–90°, sorted by position:
h k l, 2theta, I/Imax
0 0 1, 11.92, 63
1 0 0, 12.71, 100
1 0 1, 19.18, 81
1 1 -1, 22.73, 49
0 1 2, 29.23, 49
1 1 -2, 29.89, 58
2 1 0, 30.58, 47
2 1 -1, 30.89, 47